1.
Diffraction record for Ca2Pm2GaPd4. The X-ray powder pattern is simulated, not measured: it uses a cell relaxed with GGA-PBE and Cu Kα (weighted mean of Kα1 and Kα2).

Most intense lines, 15° ≤ 2θ ≤ 90°, low angle first:
2theta	I/Imax
17.9	43
20.3	11
32.7	100
33.3	30
36.2	74
40.7	11
42.3	32
52.1	26
56.1	15
56.9	12
62.9	29
88.0	11

Structure:
```
Ca2Pm2GaPd4
1.0
-3.5090 3.5090 4.3682
3.5090 -3.5090 4.3682
3.5090 3.5090 -4.3682
Ca Pm Ga Pd
2 2 1 4
Cartesian
3.5090 0.0000 2.1841 Ca
0.0000 3.5090 2.1841 Ca
0.0000 0.0000 1.5763 Pm
0.0000 0.0000 7.1600 Pm
0.0000 0.0000 4.3682 Ga
1.7457 1.7457 0.0000 Pd
1.7634 -1.7634 4.3682 Pd
-1.7634 1.7634 4.3682 Pd
1.7634 1.7634 4.3682 Pd
```

***

2.
Diffraction record for Ho8Sc3. The X-ray powder pattern is simulated, not measured: it uses a cell relaxed with GGA-PBE and Cu Kα (weighted mean of Kα1 and Kα2).

Most intense lines, 15° ≤ 2θ ≤ 90°, low angle first:
2theta	I/Imax
17.3	8
31.7	100
32.0	29
36.8	64
52.8	25
53.3	19
62.9	14
63.1	25
63.6	11
66.1	11
86.6	12
89.5	11

Structure:
```
Ho8Sc3
1.0
1.7329 1.0005 30.7437
-1.7329 1.0005 30.7437
0.0000 -2.0010 30.7437
Ho Sc
8 3
Cartesian
0.0000 0.0000 4.3291 Ho
0.0000 0.0000 12.6579 Ho
0.0000 0.0000 29.2996 Ho
0.0000 0.0000 37.9786 Ho
0.0000 0.0000 54.2524 Ho
0.0000 0.0000 62.9314 Ho
0.0000 0.0000 79.5731 Ho
0.0000 0.0000 87.9018 Ho
0.0000 0.0000 20.8043 Sc
0.0000 0.0000 46.1155 Sc
0.0000 0.0000 71.4267 Sc
```